(1)
This entry pairs a crystal structure of PmPr2Au with its theoretical powder diffractogram. Radiation: Cu Kα (weighted mean of Kα1 and Kα2). Structure: the GGA-PBE geometry in Alexandria.
Kinematic intensities with the Lorentz-polarization factor, no thermal factor.

Largest 10 diffraction maxima, low angle first, 10° ≤ 2θ ≤ 90°:
2θ 10.17, I = 13; 2θ 31.42, I = 100; 2θ 33.65, I = 47; 2θ 39.21, I = 10; 2θ 41.53, I = 8; 2θ 48.33, I = 20; 2θ 54.47, I = 15; 2θ 58.78, I = 34; 2θ 63.92, I = 9; 2θ 65.57, I = 8

Cell and atoms:
a b c (Å): 3.767 3.767 8.698
angles (deg): 90.00 90.00 90.00
Atoms (fractional coordinates):
Pm 0.000 0.000 0.000
Pr 0.500 0.500 0.290
Pr 0.500 0.500 0.710
Au 0.000 0.000 0.500



(2)
This entry pairs a crystal structure of Pm2PrAu4 with its theoretical powder diffractogram. Radiation: Cu Kα (weighted mean of Kα1 and Kα2). Structure: the GGA-PBE geometry in Alexandria.
Kinematic intensities with the Lorentz-polarization factor, no thermal factor.

Largest 10 diffraction maxima, low angle first, 10° ≤ 2θ ≤ 90°:
2θ 24.46, I = 20; 2θ 34.68, I = 88; 2θ 35.06, I = 100; 2θ 47.91, I = 16; 2θ 50.14, I = 31; 2θ 61.91, I = 10; 2θ 62.65, I = 32; 2θ 62.90, I = 19; 2θ 74.09, I = 12; 2θ 84.47, I = 15

Cell and atoms:
a b c (Å): 8.994 8.994 8.994
angles (deg): 33.07 33.07 33.07
Atoms (fractional coordinates):
Pm 0.239 0.239 0.239
Pm 0.761 0.761 0.761
Pr 0.000 0.000 0.000
Au 0.119 0.119 0.119
Au 0.367 0.367 0.367
Au 0.633 0.633 0.633
Au 0.881 0.881 0.881



(3)
This entry pairs a crystal structure of PmPr2Au with its theoretical powder diffractogram. Radiation: Cu Kα (weighted mean of Kα1 and Kα2). Structure: the GGA-PBE geometry in Alexandria.
Kinematic intensities with the Lorentz-polarization factor, no thermal factor.

Largest 10 diffraction maxima, low angle first, 10° ≤ 2θ ≤ 90°:
2θ 29.82, I = 100; 2θ 29.95, I = 19; 2θ 32.85, I = 82; 2θ 33.64, I = 43; 2θ 34.97, I = 22; 2θ 35.81, I = 43; 2θ 47.13, I = 34; 2θ 55.30, I = 32; 2θ 56.76, I = 17; 2θ 56.95, I = 19

Cell and atoms:
a b c (Å): 6.527 6.527 10.263
angles (deg): 90.00 90.00 145.61
Atoms (fractional coordinates):
Pm 0.065 0.935 0.750
Pm 0.935 0.065 0.250
Pr 0.366 0.634 0.550
Pr 0.366 0.634 0.950
Pr 0.634 0.366 0.050
Pr 0.634 0.366 0.450
Au 0.237 0.763 0.250
Au 0.763 0.237 0.750



(4)
This entry pairs a crystal structure of PmPr3Au2 with its theoretical powder diffractogram. Radiation: Cu Kα (weighted mean of Kα1 and Kα2). Structure: the GGA-PBE geometry in Alexandria.
Kinematic intensities with the Lorentz-polarization factor, no thermal factor.

Largest 10 diffraction maxima, low angle first, 10° ≤ 2θ ≤ 90°:
2θ 28.46, I = 57; 2θ 29.94, I = 26; 2θ 30.99, I = 39; 2θ 31.45, I = 100; 2θ 33.48, I = 79; 2θ 34.85, I = 65; 2θ 41.81, I = 35; 2θ 42.06, I = 23; 2θ 47.32, I = 24; 2θ 67.19, I = 21

Cell and atoms:
a b c (Å): 5.148 9.398 7.327
angles (deg): 90.00 90.00 90.00
Atoms (fractional coordinates):
Pm 0.000 0.074 0.000
Pm 0.000 0.926 0.500
Pr 0.000 0.335 0.645
Pr 0.000 0.665 0.145
Pr 0.500 0.163 0.342
Pr 0.500 0.425 0.987
Pr 0.500 0.575 0.487
Pr 0.500 0.837 0.842
Au 0.000 0.344 0.230
Au 0.000 0.656 0.730
Au 0.500 0.152 0.756
Au 0.500 0.848 0.256



(5)
This entry pairs a crystal structure of Pm4Pr3Au4 with its theoretical powder diffractogram. Radiation: Cu Kα (weighted mean of Kα1 and Kα2). Structure: the GGA-PBE geometry in Alexandria.
Kinematic intensities with the Lorentz-polarization factor, no thermal factor.

Largest 10 diffraction maxima, low angle first, 10° ≤ 2θ ≤ 90°:
2θ 29.53, I = 100; 2θ 29.72, I = 26; 2θ 30.55, I = 43; 2θ 33.01, I = 17; 2θ 33.46, I = 18; 2θ 35.96, I = 46; 2θ 40.31, I = 32; 2θ 40.58, I = 27; 2θ 44.52, I = 15; 2θ 47.32, I = 15

Cell and atoms:
a b c (Å): 9.371 9.371 9.371
angles (deg): 149.09 130.68 59.35
Atoms (fractional coordinates):
Pm 0.046 0.828 0.218
Pm 0.390 0.172 0.218
Pm 0.610 0.828 0.782
Pm 0.954 0.172 0.782
Pr 0.000 0.500 0.500
Pr 0.399 0.399 0.000
Pr 0.601 0.601 0.000
Au 0.202 0.702 0.500
Au 0.312 0.000 0.312
Au 0.688 0.000 0.688
Au 0.798 0.298 0.500



(6)
This entry pairs a crystal structure of Pm2PrAu with its theoretical powder diffractogram. Radiation: Cu Kα (weighted mean of Kα1 and Kα2). Structure: the GGA-PBE geometry in Alexandria.
Kinematic intensities with the Lorentz-polarization factor, no thermal factor.

Largest 10 diffraction maxima, low angle first, 10° ≤ 2θ ≤ 90°:
2θ 29.21, I = 28; 2θ 29.50, I = 15; 2θ 30.44, I = 100; 2θ 31.65, I = 18; 2θ 31.82, I = 28; 2θ 33.22, I = 29; 2θ 34.09, I = 34; 2θ 34.92, I = 20; 2θ 36.27, I = 24; 2θ 53.70, I = 21

Cell and atoms:
a b c (Å): 7.172 10.277 6.770
angles (deg): 90.00 90.00 90.00
Atoms (fractional coordinates):
Pm 0.191 0.053 0.175
Pm 0.191 0.447 0.175
Pm 0.309 0.553 0.675
Pm 0.309 0.947 0.675
Pm 0.691 0.053 0.325
Pm 0.691 0.447 0.325
Pm 0.809 0.553 0.825
Pm 0.809 0.947 0.825
Pr 0.010 0.250 0.633
Pr 0.490 0.750 0.133
Pr 0.510 0.250 0.867
Pr 0.990 0.750 0.367
Au 0.105 0.750 0.928
Au 0.395 0.250 0.428
Au 0.605 0.750 0.572
Au 0.895 0.250 0.072



(7)
This entry pairs a crystal structure of PmPrAuSe with its theoretical powder diffractogram. Radiation: Cu Kα (weighted mean of Kα1 and Kα2). Structure: the GGA-PBE geometry in Alexandria.
Kinematic intensities with the Lorentz-polarization factor, no thermal factor.

Largest 10 diffraction maxima, low angle first, 10° ≤ 2θ ≤ 90°:
2θ 28.94, I = 53; 2θ 29.61, I = 100; 2θ 41.88, I = 78; 2θ 42.38, I = 38; 2θ 52.13, I = 42; 2θ 68.29, I = 18; 2θ 69.35, I = 18; 2θ 69.70, I = 17; 2θ 76.16, I = 14; 2θ 77.17, I = 26

Cell and atoms:
a b c (Å): 4.266 4.266 6.170
angles (deg): 90.00 90.00 90.00
Atoms (fractional coordinates):
Pm 0.000 0.000 0.000
Pr 0.500 0.500 0.500
Au 0.000 0.000 0.500
Se 0.500 0.500 0.000



(8)
This entry pairs a crystal structure of Pm2PtAu2 with its theoretical powder diffractogram. Radiation: Cu Kα (weighted mean of Kα1 and Kα2). Structure: the GGA-PBE geometry in Alexandria.
Kinematic intensities with the Lorentz-polarization factor, no thermal factor.

Largest 10 diffraction maxima, low angle first, 10° ≤ 2θ ≤ 90°:
2θ 30.57, I = 40; 2θ 31.93, I = 95; 2θ 33.70, I = 59; 2θ 37.04, I = 26; 2θ 37.91, I = 100; 2θ 39.33, I = 41; 2θ 40.72, I = 25; 2θ 41.23, I = 21; 2θ 45.29, I = 40; 2θ 61.51, I = 23

Cell and atoms:
a b c (Å): 5.716 5.716 11.775
angles (deg): 108.50 108.50 41.01
Atoms (fractional coordinates):
Pm 0.004 0.004 0.337
Pm 0.182 0.182 0.115
Pm 0.818 0.818 0.885
Pm 0.996 0.996 0.663
Pt 0.301 0.301 0.696
Pt 0.699 0.699 0.304
Au 0.352 0.352 0.456
Au 0.455 0.455 0.108
Au 0.545 0.545 0.892
Au 0.648 0.648 0.544



(9)
This entry pairs a crystal structure of Pm8Pt2Au with its theoretical powder diffractogram. Radiation: Cu Kα (weighted mean of Kα1 and Kα2). Structure: the GGA-PBE geometry in Alexandria.
Kinematic intensities with the Lorentz-polarization factor, no thermal factor.

Largest 10 diffraction maxima, low angle first, 10° ≤ 2θ ≤ 90°:
2θ 29.37, I = 63; 2θ 30.39, I = 44; 2θ 30.86, I = 81; 2θ 32.39, I = 100; 2θ 34.22, I = 53; 2θ 34.42, I = 87; 2θ 35.15, I = 50; 2θ 37.14, I = 79; 2θ 38.45, I = 44; 2θ 53.87, I = 44

Cell and atoms:
a b c (Å): 7.998 7.998 5.964
angles (deg): 99.32 99.32 114.71
Atoms (fractional coordinates):
Pm 0.000 0.000 0.000
Pm 0.035 0.287 0.585
Pm 0.143 0.597 0.185
Pm 0.287 0.035 0.585
Pm 0.459 0.711 0.773
Pm 0.597 0.143 0.185
Pm 0.711 0.459 0.773
Pm 0.750 0.750 0.371
Pt 0.071 0.675 0.684
Pt 0.675 0.071 0.684
Au 0.374 0.374 0.313



(10)
This entry pairs a crystal structure of Pm4PtAu with its theoretical powder diffractogram. Radiation: Cu Kα (weighted mean of Kα1 and Kα2). Structure: the GGA-PBE geometry in Alexandria.
Kinematic intensities with the Lorentz-polarization factor, no thermal factor.

Largest 10 diffraction maxima, low angle first, 10° ≤ 2θ ≤ 90°:
2θ 28.94, I = 65; 2θ 29.85, I = 34; 2θ 30.55, I = 69; 2θ 31.29, I = 22; 2θ 33.85, I = 100; 2θ 35.92, I = 96; 2θ 40.29, I = 48; 2θ 42.26, I = 39; 2θ 56.64, I = 35; 2θ 63.28, I = 31

Cell and atoms:
a b c (Å): 7.218 4.999 18.682
angles (deg): 90.00 90.00 90.00
Atoms (fractional coordinates):
Pm 0.016 0.250 0.223
Pm 0.061 0.250 0.929
Pm 0.117 0.250 0.649
Pm 0.118 0.250 0.445
Pm 0.382 0.750 0.945
Pm 0.383 0.750 0.149
Pm 0.439 0.750 0.429
Pm 0.484 0.750 0.723
Pm 0.516 0.250 0.277
Pm 0.561 0.250 0.571
Pm 0.617 0.250 0.851
Pm 0.618 0.250 0.055
Pm 0.882 0.750 0.555
Pm 0.883 0.750 0.351
Pm 0.939 0.750 0.071
Pm 0.984 0.750 0.777
Pt 0.249 0.750 0.293
Pt 0.251 0.250 0.793
Pt 0.749 0.750 0.207
Pt 0.751 0.250 0.707
Au 0.203 0.250 0.077
Au 0.297 0.750 0.577
Au 0.703 0.250 0.423
Au 0.797 0.750 0.923



(11)
This entry pairs a crystal structure of Pm2PuAu3 with its theoretical powder diffractogram. Radiation: Cu Kα (weighted mean of Kα1 and Kα2). Structure: the GGA-PBE geometry in Alexandria.
Kinematic intensities with the Lorentz-polarization factor, no thermal factor.

Largest 10 diffraction maxima, low angle first, 10° ≤ 2θ ≤ 90°:
2θ 34.42, I = 100; 2θ 34.71, I = 49; 2θ 49.03, I = 9; 2θ 49.91, I = 18; 2θ 61.47, I = 19; 2θ 62.04, I = 37; 2θ 72.57, I = 12; 2θ 82.18, I = 9; 2θ 83.52, I = 8; 2θ 83.68, I = 8

Cell and atoms:
a b c (Å): 3.655 3.655 11.147
angles (deg): 90.00 90.00 90.00
Atoms (fractional coordinates):
Pm 0.000 0.000 0.168
Pm 0.000 0.000 0.832
Pu 0.000 0.000 0.500
Au 0.500 0.500 0.000
Au 0.500 0.500 0.330
Au 0.500 0.500 0.670



(12)
This entry pairs a crystal structure of RbPmAuSe2 with its theoretical powder diffractogram. Radiation: Cu Kα (weighted mean of Kα1 and Kα2). Structure: the GGA-PBE geometry in Alexandria.
Kinematic intensities with the Lorentz-polarization factor, no thermal factor.

Largest 10 diffraction maxima, low angle first, 10° ≤ 2θ ≤ 90°:
2θ 11.10, I = 100; 2θ 22.31, I = 22; 2θ 24.40, I = 21; 2θ 29.05, I = 40; 2θ 31.68, I = 47; 2θ 33.94, I = 32; 2θ 37.42, I = 24; 2θ 38.45, I = 21; 2θ 41.61, I = 24; 2θ 59.57, I = 19

Cell and atoms:
a b c (Å): 8.070 5.040 8.235
angles (deg): 90.00 99.10 90.00
Atoms (fractional coordinates):
Rb 0.000 0.144 0.250
Rb 0.000 0.856 0.750
Pm 0.500 0.493 0.750
Pm 0.500 0.507 0.250
Au 0.500 0.000 0.000
Au 0.500 0.000 0.500
Se 0.259 0.343 0.965
Se 0.259 0.657 0.465
Se 0.741 0.343 0.535
Se 0.741 0.657 0.035